# BaCe2PtO8
Calculated powder diffractogram, Cu Kα X-rays. Input: a cell relaxed with GGA-PBE.
Intensities are scaled so that the largest is 100.

Principal peaks in the range 10 to 90 degrees two-theta, in order of rising 2θ:
2θ/deg  I/Imax
24.0  54.5
24.9  48.5
30.2  100.0
34.8  14.8
34.9  12.6
46.2  38.7
47.2  35.4
57.0  15.7
59.5  10.5
62.7  12.5

Atomic structure:
```
data_BaCe2PtO8
_cell_length_a 5.145
_cell_length_b 7.244
_cell_length_c 5.165
_cell_angle_alpha 90.00
_cell_angle_beta 92.07
_cell_angle_gamma 90.00
_space_group_name_H-M_alt 'P 1 2/m 1'
_space_group_IT_number 10
loop_
_space_group_symop_operation_xyz
'x,y,z'
'-x,-y,-z'
'-x,y,-z'
'x,-y,z'
loop_
_atom_site_label
_atom_site_type_symbol
_atom_site_fract_x
_atom_site_fract_y
_atom_site_fract_z
_atom_site_occupancy
Ba1 Ba 0.000 0.000 0.000 1
Ce1 Ce 0.500 0.251 0.500 1
Pt1 Pt 0.000 0.500 0.000 1
O1 O 0.210 0.310 0.184 1
O2 O 0.261 0.500 0.717 1
O3 O 0.306 0.000 0.632 1
```

# RbBa2Ce3O8
Calculated powder diffractogram, Cu Kα X-rays. Input: a cell relaxed with GGA-PBE.
Intensities are scaled so that the largest is 100.

Principal peaks in the range 10 to 90 degrees two-theta, in order of rising 2θ:
2θ/deg  I/Imax
23.4  27.2
27.3  61.7
28.2  100.0
28.7  53.2
29.8  50.8
34.1  36.0
44.8  38.8
45.4  28.0
47.8  46.3
50.0  46.2

Atomic structure:
```
data_RbBa2Ce3O8
_cell_length_a 7.2903
_cell_length_b 7.2903
_cell_length_c 19.0580
_cell_angle_alpha 90.00
_cell_angle_beta 90.00
_cell_angle_gamma 120.00
_space_group_name_H-M_alt 'R 3 m'
_space_group_IT_number 160
_space_group_name_Hall 'R 3 -2"'
loop_
_atom_site_label
_atom_site_type_symbol
_atom_site_fract_x
_atom_site_fract_y
_atom_site_fract_z
_atom_site_occupancy
Rb1 Rb 0.0000 0.0000 0.0000 1
Ba1 Ba 0.0000 0.0000 0.2405 1
Ba2 Ba 0.0000 0.0000 0.6243 1
Ce1 Ce 0.1681 0.3362 0.4564 1
O1 O 0.0000 0.0000 0.3945 1
O2 O 0.0000 0.0000 0.8485 1
O3 O 0.0529 0.5264 0.3964 1
O4 O 0.1872 0.3745 0.1882 1
```

# Ba2CeReO6
Calculated powder diffractogram, Cu Kα X-rays. Input: a cell relaxed with GGA-PBE.
Intensities are scaled so that the largest is 100.

Principal peaks in the range 10 to 90 degrees two-theta, in order of rising 2θ:
2θ/deg  I/Imax
17.9  2.0
20.7  3.6
29.5  100.0
42.1  28.4
47.4  1.5
52.3  40.9
61.1  18.0
69.3  18.3
77.0  6.0
84.6  21.8

Atomic structure:
```
data_Ba2CeReO6
_cell_length_a 8.576
_cell_length_b 8.576
_cell_length_c 8.576
_cell_angle_alpha 90.00
_cell_angle_beta 90.00
_cell_angle_gamma 90.00
_space_group_name_H-M_alt 'F m -3 m'
_space_group_IT_number 225
_space_group_name_Hall '-F 4 2 3'
loop_
_atom_site_label
_atom_site_type_symbol
_atom_site_fract_x
_atom_site_fract_y
_atom_site_fract_z
_atom_site_occupancy
Ba1 Ba 0.250 0.250 0.250 1
Ce1 Ce 0.000 0.000 0.000 1
Re1 Re 0.000 0.000 0.500 1
O1 O 0.000 0.000 0.265 1
```

# BaCeRe2O8
Calculated powder diffractogram, Cu Kα X-rays. Input: a cell relaxed with GGA-PBE.
Intensities are scaled so that the largest is 100.

Principal peaks in the range 10 to 90 degrees two-theta, in order of rising 2θ:
2θ/deg  I/Imax
20.6  100.0
28.8  65.4
29.7  69.6
39.1  14.8
41.9  32.7
47.7  21.7
52.2  26.1
52.8  14.1
56.8  15.8
61.8  11.9

Atomic structure:
```
data_BaCeRe2O8
_cell_length_a 6.0076
_cell_length_b 6.0076
_cell_length_c 7.7054
_cell_angle_alpha 90.00
_cell_angle_beta 90.00
_cell_angle_gamma 120.00
_space_group_name_H-M_alt 'P -3'
_space_group_IT_number 147
loop_
_space_group_symop_operation_xyz
'x,y,z'
'-x,-y,-z'
'-y,x-y,z'
'y,-x+y,-z'
'-x+y,-x,z'
'x-y,x,-z'
loop_
_atom_site_label
_atom_site_type_symbol
_atom_site_fract_x
_atom_site_fract_y
_atom_site_fract_z
_atom_site_occupancy
Ba1 Ba 0.0000 0.0000 0.0000 1
Ce1 Ce 0.0000 0.0000 0.5000 1
Re1 Re 0.3333 0.6667 0.7830 1
O1 O 0.1649 0.8329 0.7033 1
O2 O 0.3333 0.6667 0.0157 1
```

# BaCeRu2O8
Calculated powder diffractogram, Cu Kα X-rays. Input: a cell relaxed with GGA-PBE.
Intensities are scaled so that the largest is 100.

Principal peaks in the range 10 to 90 degrees two-theta, in order of rising 2θ:
2θ/deg  I/Imax
17.3  43.3
20.8  89.2
29.0  100.0
30.2  90.4
42.4  50.9
48.5  17.6
53.0  38.8
53.7  17.6
57.2  24.6
70.7  16.4

Atomic structure:
```
data_BaCeRu2O8
_cell_length_a 5.9114
_cell_length_b 5.9114
_cell_length_c 7.6880
_cell_angle_alpha 90.00
_cell_angle_beta 90.00
_cell_angle_gamma 120.00
_space_group_name_H-M_alt 'P -3'
_space_group_IT_number 147
loop_
_space_group_symop_operation_xyz
'x,y,z'
'-x,-y,-z'
'-y,x-y,z'
'y,-x+y,-z'
'-x+y,-x,z'
'x-y,x,-z'
loop_
_atom_site_label
_atom_site_type_symbol
_atom_site_fract_x
_atom_site_fract_y
_atom_site_fract_z
_atom_site_occupancy
Ba1 Ba 0.0000 0.0000 0.0000 1
Ce1 Ce 0.0000 0.0000 0.5000 1
Ru1 Ru 0.3333 0.6667 0.7806 1
O1 O 0.1615 0.3290 0.6980 1
O2 O 0.3333 0.6667 0.0118 1
```

# BaCe2RuO8
Calculated powder diffractogram, Cu Kα X-rays. Input: a cell relaxed with GGA-PBE.
Intensities are scaled so that the largest is 100.

Principal peaks in the range 10 to 90 degrees two-theta, in order of rising 2θ:
2θ/deg  I/Imax
18.6  31.8
23.6  100.0
26.9  95.2
27.0  82.3
32.4  46.7
32.7  41.1
34.7  47.9
42.2  27.5
46.7  23.6
56.8  24.2

Atomic structure:
```
data_BaCe2RuO8
_cell_length_a 5.201
_cell_length_b 5.224
_cell_length_c 6.977
_cell_angle_alpha 86.50
_cell_angle_beta 68.42
_cell_angle_gamma 81.96
_space_group_name_H-M_alt 'P -1'
_space_group_IT_number 2
loop_
_space_group_symop_operation_xyz
'x,y,z'
'-x,-y,-z'
loop_
_atom_site_label
_atom_site_type_symbol
_atom_site_fract_x
_atom_site_fract_y
_atom_site_fract_z
_atom_site_occupancy
Ba1 Ba 0.000 0.000 0.000 1
Ce1 Ce 0.368 0.468 0.275 1
Ru1 Ru 0.000 0.000 0.500 1
O1 O 0.081 0.292 0.616 1
O2 O 0.265 0.768 0.579 1
O3 O 0.271 0.503 0.978 1
O4 O 0.312 0.053 0.239 1
```